# PrTe2O5
Computed powder X-ray diffraction pattern, Cu Kα. Input: a PBE-relaxed structure.
Intensities are scaled so that the largest is 100.

Most intense lines, 2θ from 10° to 90°, by angle:
| 2theta | d/Å | I/Imax |
| --- | --- | --- |
| 18.68 | 4.750 | 45 |
| 23.46 | 3.793 | 74 |
| 24.09 | 3.695 | 29 |
| 27.33 | 3.264 | 69 |
| 27.81 | 3.208 | 100 |
| 28.12 | 3.174 | 68 |
| 29.83 | 2.995 | 31 |
| 37.88 | 2.375 | 24 |
| 40.84 | 2.210 | 23 |
| 41.99 | 2.151 | 35 |
| 50.02 | 1.823 | 25 |
| 55.39 | 1.659 | 20 |

Crystal structure
Cell lengths 7.3890, 10.9127, 7.5352 Å; angles 90.00, 90.00, 90.00 degrees
Element x y z (fractional)
Pr 0.0000 0.0525 0.2500
Pr 0.0000 0.9475 0.7500
Pr 0.5000 0.4475 0.7500
Pr 0.5000 0.5525 0.2500
Te 0.0984 0.3550 0.0264
Te 0.0984 0.6450 0.5264
Te 0.4016 0.1450 0.5264
Te 0.4016 0.8550 0.0264
Te 0.5984 0.1450 0.9736
Te 0.5984 0.8550 0.4736
Te 0.9016 0.3550 0.4736
Te 0.9016 0.6450 0.9736
O 0.0000 0.4395 0.2500
O 0.0000 0.5605 0.7500
O 0.1700 0.0631 0.5242
O 0.1700 0.9369 0.0242
O 0.1815 0.2200 0.1663
O 0.1815 0.7800 0.6663
O 0.3185 0.2800 0.6663
O 0.3185 0.7200 0.1663
O 0.3300 0.4369 0.0242
O 0.3300 0.5631 0.5242
O 0.5000 0.0605 0.7500
O 0.5000 0.9395 0.2500
O 0.6700 0.4369 0.4758
O 0.6700 0.5631 0.9758
O 0.6815 0.2800 0.8337
O 0.6815 0.7200 0.3337
O 0.8185 0.2200 0.3337
O 0.8185 0.7800 0.8337
O 0.8300 0.0631 0.9758
O 0.8300 0.9369 0.4758